Entry 1:
For La3TiBeS7, a cell relaxed with GGA-PBE gives the computed powder diffractogram in this record (copper Kα).

Atomic structure:
Unit cell a=10.3207 b=10.3207 c=5.8181 alpha=90.00 beta=90.00 gamma=120.00
Space group P6_3 (No. 173)
Asymmetric unit:
La  0.1366  0.3914  0.0000
Ti  0.0000  0.0000  0.2662
Be  0.3333  0.6667  0.4097
S  0.0765  0.2236  0.5171
S  0.1148  0.5971  0.2829
S  0.3333  0.6667  0.7675

Principal peaks in the range 2θ from 10° to 90°, sorted by position:
2θ 18.19, d 4.876, intensity 84, (1 0 1); 2θ 23.04, d 3.861, intensity 71, (1 1 1); 2θ 25.13, d 3.544, intensity 100, (2 0 1); 2θ 26.38, d 3.378, intensity 97, (1 2 0); 2θ 30.60, d 2.921, intensity 39, (2 1 1); 2θ 33.80, d 2.652, intensity 79, (3 0 1); 2θ 36.87, d 2.438, intensity 41, (2 0 2); 2θ 39.51, d 2.281, intensity 83, (3 1 1); 2θ 40.94, d 2.204, intensity 80, (1 2 2); 2θ 49.28, d 1.849, intensity 39, (1 4 1)

---

Entry 2:
For LiNb2P2O10, a cell relaxed with GGA-PBE gives the computed powder diffractogram in this record (copper Kα).

Atomic structure:
Unit cell a=9.554 b=9.249 c=4.148 alpha=90.00 beta=92.14 gamma=90.00
Space group C2/m (No. 12)
Asymmetric unit:
Li  0.000  0.000  0.000
Nb  0.238  0.500  0.243
P  0.000  0.247  0.500
O  0.093  0.148  0.718
O  0.094  0.343  0.295
O  0.247  0.000  0.194

Principal peaks in the range 2θ from 10° to 90°, sorted by position:
2θ 18.59, d 4.774, intensity 13, (2 0 0); 2θ 19.19, d 4.624, intensity 18, (0 2 0); 2θ 25.02, d 3.558, intensity 51, (1 1 -1); 2θ 25.63, d 3.476, intensity 53, (1 1 1); 2θ 26.84, d 3.322, intensity 100, (2 2 0); 2θ 37.71, d 2.385, intensity 12, (4 0 0); 2θ 45.96, d 1.975, intensity 19, (3 3 -1); 2θ 47.03, d 1.932, intensity 15, (3 3 1); 2θ 55.33, d 1.660, intensity 20, (4 4 0); 2θ 63.87, d 1.457, intensity 14, (2 4 2)

---

Entry 3:
For Ta4MoSe10, a cell relaxed with GGA-PBE gives the computed powder diffractogram in this record (copper Kα).

Atomic structure:
Unit cell a=19.539 b=3.440 c=10.512 alpha=90.00 beta=94.66 gamma=90.00
Space group Cm (No. 8)
Asymmetric unit:
Ta  0.000  0.000  0.000
Ta  0.097  0.500  0.805
Ta  0.205  0.000  0.591
Ta  0.395  0.000  0.211
Mo  0.298  0.500  0.404
Se  0.028  0.500  0.185
Se  0.103  0.500  0.556
Se  0.133  0.000  0.985
Se  0.201  0.000  0.348
Se  0.230  0.500  0.778
Se  0.297  0.500  0.158
Se  0.334  0.000  0.581
Se  0.400  0.000  0.961
Se  0.429  0.500  0.389
Se  0.499  0.500  0.752

Principal peaks in the range 2θ from 10° to 90°, sorted by position:
2θ 12.90, d 6.860, intensity 100, (2 0 1); 2θ 30.29, d 2.951, intensity 33, (3 1 -1); 2θ 31.23, d 2.864, intensity 26, (1 1 -2); 2θ 34.74, d 2.583, intensity 14, (2 0 -4); 2θ 34.79, d 2.578, intensity 29, (5 1 0); 2θ 37.24, d 2.415, intensity 54, (1 1 3); 2θ 43.21, d 2.093, intensity 38, (7 1 1); 2θ 46.63, d 1.948, intensity 21, (3 1 4); 2θ 53.21, d 1.721, intensity 29, (0 2 0); 2θ 55.00, d 1.670, intensity 14, (2 2 1)

---

Entry 4:
For Ca4IrN4, a cell relaxed with GGA-PBE gives the computed powder diffractogram in this record (copper Kα).

Atomic structure:
Unit cell a=5.990 b=6.153 c=8.383 alpha=88.79 beta=72.28 gamma=70.34
Space group P-1 (No. 2)
Asymmetric unit:
Ca  0.050  0.234  0.430
Ca  0.203  0.223  0.013
Ca  0.257  0.718  0.150
Ca  0.425  0.288  0.620
Ir  0.387  0.790  0.760
N  0.159  0.034  0.682
N  0.258  0.553  0.880
N  0.295  0.482  0.375
N  0.410  0.009  0.210

Principal peaks in the range 2θ from 10° to 90°, sorted by position:
2θ 16.56, d 5.353, intensity 94, (1 0 0); 2θ 18.16, d 4.885, intensity 87, (0 1 -1); 2θ 19.33, d 4.592, intensity 62, (1 1 1); 2θ 31.00, d 2.885, intensity 80, (0 2 0); 2θ 31.73, d 2.820, intensity 89, (2 0 1); 2θ 31.98, d 2.798, intensity 89, (1 0 -2); 2θ 35.00, d 2.564, intensity 82, (1 1 3); 2θ 36.39, d 2.469, intensity 67, (2 2 1); 2θ 37.44, d 2.402, intensity 66, (1 -1 3); 2θ 39.04, d 2.307, intensity 100, (-1 1 2)